Theoretical powder diffraction line list
Compound: NdSmNiAu
Radiation: Cu Kα, 1.54184 Å
Structure: a cell relaxed with PBE
Intensities are scaled so that the largest is 100.

Cell and atoms:
```
data_NdSmNiAu
_chemical_formula_sum 'Nd2 Sm2 Ni2 Au2'
_cell_length_a 4.610
_cell_length_b 3.910
_cell_length_c 10.710
_cell_angle_alpha 90.00
_cell_angle_beta 90.00
_cell_angle_gamma 90.00
_space_group_name_H-M_alt 'A m m 2'
_space_group_IT_number 38
loop_
_space_group_symop_operation_xyz
'x,y,z'
'-x,-y,z'
'-x,y,z'
'x,-y,z'
'x,y+1/2,z+1/2'
'-x,-y+1/2,z+1/2'
'-x,y+1/2,z+1/2'
'x,-y+1/2,z+1/2'
loop_
_atom_site_label
_atom_site_type_symbol
_atom_site_fract_x
_atom_site_fract_y
_atom_site_fract_z
_atom_site_occupancy
Nd1 Nd 0.000 0.000 0.000 1
Sm1 Sm 0.500 0.000 0.279 1
Ni1 Ni 0.000 0.000 0.722 1
Au1 Au 0.500 0.000 0.565 1
```

Peak list (8 most intense, 10 to 80 degrees two-theta, low angle first)
2θ = 31.13°, intensity 100
2θ = 33.47°, intensity 23
2θ = 34.00°, intensity 30
2θ = 38.90°, intensity 26
2θ = 39.08°, intensity 31
2θ = 39.37°, intensity 65
2θ = 46.45°, intensity 21
2θ = 52.76°, intensity 18